The following is a calculated powder X-ray diffraction pattern of Tl4IBr2Cl. It was derived from the PBE geometry in Alexandria, using Cu Kα.
Peak positions follow from Bragg's law for the DFT cell and can differ from measured ones.

Structural model:
Cell: 8.3089 4.7959 8.3203 Å, 90.00 109.52 90.00°
Space group P2/m (No. 10)
Symmetry-distinct sites (fractional):
Tl  0.2449  0.0000  0.2339 x2
Tl  0.2512  0.5000  0.7615 x2
I  0.5000  0.5000  0.5000 x1
Br  0.0000  0.0000  0.5000 x1
Br  0.0000  0.5000  0.0000 x1
Cl  0.5000  0.0000  0.0000 x1

Largest 6 diffraction maxima, in order of rising 2θ, 2θ from 5° to 70°:
2θ 22.7, I = 31.7
2θ 26.3, I = 100.0
2θ 37.5, I = 77.8
2θ 44.3, I = 17.2
2θ 46.4, I = 28.2
2θ 61.1, I = 36.5


The following is a calculated powder X-ray diffraction pattern of Tb6TlIn6. It was derived from the PBE geometry in Alexandria, using Cu Kα.
Peak positions follow from Bragg's law for the DFT cell and can differ from measured ones.

Structural model:
Cell: 6.3751 6.3751 10.5655 Å, 90.00 90.00 120.00°
Space group P6/mmm (No. 191)
Symmetry-distinct sites (fractional):
Tb  0.0000  0.0000  0.1840 x2
Tb  0.3333  0.6667  0.0000 x2
Tb  0.3333  0.6667  0.5000 x2
Tl  0.0000  0.0000  0.5000 x1
In  0.0000  0.5000  0.2496 x6

Largest 6 diffraction maxima, in order of rising 2θ, 2θ from 5° to 70°:
2θ 28.0, I = 79.5
2θ 32.4, I = 53.7
2θ 32.8, I = 92.4
2θ 33.9, I = 44.0
2θ 36.7, I = 100.0
2θ 57.9, I = 42.6